Record 1
Structure and computed X-ray diffraction stick pattern of Hg5Br11N (a DFT-relaxed cell (PBE, the Materials Project); copper Kα).
Lines closer than 0.1° are merged.

Principal peaks in the range 2θ = 15–90°, by intensity:
- d = 3.317 Å, rel. 100
- d = 3.228 Å, rel. 68
- d = 4.806 Å, rel. 59
- d = 3.258 Å, rel. 51
- d = 3.272 Å, rel. 47
- d = 2.856 Å, rel. 34
- d = 1.738 Å, rel. 31
- d = 2.617 Å, rel. 27
- d = 2.031 Å, rel. 25
- d = 2.123 Å, rel. 25

Structural model:
```
Hg5Br11N
1.0
6.4566 -7.9584 0.0000
6.4566 7.9584 0.0000
-3.3253 0.0000 6.1192
Hg Br N
5 11 1
Direct
0.0000 0.0000 0.0000
0.1483 0.4823 0.3161
0.4823 0.1483 0.3161
0.5177 0.8517 0.6839
0.8517 0.5177 0.6839
0.0790 0.3280 0.9284
0.1442 0.1442 0.3948
0.2042 0.6396 0.6979
0.3280 0.0790 0.9284
0.3604 0.7958 0.3021
0.5000 0.5000 0.5000
0.6396 0.2042 0.6979
0.6720 0.9210 0.0716
0.7958 0.3604 0.3021
0.8558 0.8558 0.6052
0.9210 0.6720 0.0716
0.5000 0.5000 0.0000
```

=====

Record 2
Structure and computed X-ray diffraction stick pattern of Hg2SBr4N2O3 (a DFT-relaxed cell (PBE, the Materials Project); copper Kα).
Lines closer than 0.1° are merged.

Principal peaks in the range 2θ = 15–90°, by intensity:
- d = 3.646 Å, rel. 100
- d = 3.533 Å, rel. 88
- d = 3.467 Å, rel. 68
- d = 4.072 Å, rel. 66
- d = 2.939 Å, rel. 50
- d = 2.242 Å, rel. 37
- d = 2.677 Å, rel. 36
- d = 5.618 Å, rel. 33
- d = 1.913 Å, rel. 28
- d = 2.248 Å, rel. 25

Structural model:
```
Hg2SBr4N2O3
1.0
10.3906 0.0000 0.0000
0.0000 7.2892 0.0000
-1.3021 0.0000 11.2355
Hg S Br N O
4 2 8 4 6
Direct
0.0778 0.2500 0.0079
0.3409 0.7500 0.0206
0.6591 0.2500 0.9794
0.9222 0.7500 0.9921
0.2073 0.2500 0.4191
0.7927 0.7500 0.5809
0.0894 0.7500 0.1645
0.1780 0.7500 0.8419
0.2787 0.2500 0.1446
0.4808 0.2500 0.8187
0.5192 0.7500 0.1813
0.7213 0.7500 0.8554
0.8220 0.2500 0.1581
0.9106 0.2500 0.8355
0.1340 0.2500 0.6681
0.3500 0.7500 0.5565
0.6500 0.2500 0.4435
0.8660 0.7500 0.3319
0.1378 0.0793 0.4032
0.1378 0.4207 0.4032
0.3450 0.2500 0.4539
0.6550 0.7500 0.5461
0.8622 0.5793 0.5968
0.8622 0.9207 0.5968
```

=====

Record 3
Structure and computed X-ray diffraction stick pattern of Hg8Br3O4 (a DFT-relaxed cell (PBE, the Materials Project); copper Kα).
Lines closer than 0.1° are merged.

Principal peaks in the range 2θ = 15–90°, by intensity:
- d = 3.183 Å, rel. 100
- d = 2.919 Å, rel. 94
- d = 3.076 Å, rel. 58
- d = 2.677 Å, rel. 57
- d = 3.121 Å, rel. 43
- d = 4.475 Å, rel. 33
- d = 2.783 Å, rel. 31
- d = 1.862 Å, rel. 28
- d = 2.323 Å, rel. 26
- d = 2.795 Å, rel. 23

Structural model:
```
Hg8Br3O4
1.0
7.0268 0.0000 0.0000
0.0000 6.4923 0.0000
-3.6132 0.0000 32.0357
Hg Br O
32 12 16
Direct
0.0100 0.0884 0.2129
0.0100 0.4116 0.7129
0.1367 0.1310 0.9932
0.1367 0.3690 0.4932
0.1762 0.6766 0.8913
0.1762 0.8234 0.3913
0.1903 0.5674 0.1781
0.1903 0.9326 0.6781
0.2726 0.0757 0.1236
0.2726 0.4243 0.6236
0.4074 0.6693 0.9609
0.4074 0.8307 0.4609
0.4272 0.1320 0.7803
0.4272 0.3680 0.2803
0.4537 0.6298 0.5700
0.4537 0.8702 0.0700
0.5463 0.1298 0.9300
0.5463 0.3702 0.4300
0.5728 0.6320 0.7197
0.5728 0.8680 0.2197
0.5926 0.1693 0.5391
0.5926 0.3307 0.0391
0.7274 0.5757 0.3764
0.7274 0.9243 0.8764
0.8097 0.0674 0.3219
0.8097 0.4326 0.8219
0.8238 0.1766 0.6087
0.8238 0.3234 0.1087
0.8633 0.6310 0.5068
0.8633 0.8690 0.0068
0.9900 0.5884 0.2871
0.9900 0.9116 0.7871
0.1592 0.1823 0.8709
0.1592 0.3177 0.3709
0.1746 0.5012 0.0561
0.1746 0.9988 0.5561
0.3985 0.6488 0.8116
0.3985 0.8512 0.3116
0.6015 0.1488 0.6884
0.6015 0.3512 0.1884
0.8254 0.0012 0.4439
0.8254 0.4988 0.9439
0.8408 0.6823 0.6291
0.8408 0.8177 0.1291
0.0777 0.2241 0.6580
0.0777 0.2759 0.1580
0.1508 0.1086 0.7502
0.1508 0.3914 0.2502
0.2912 0.6352 0.6922
0.2912 0.8648 0.1922
0.4078 0.2280 0.4802
0.4078 0.2720 0.9802
0.5922 0.7280 0.0198
0.5922 0.7720 0.5198
0.7088 0.1352 0.8078
0.7088 0.3648 0.3078
0.8492 0.6086 0.7498
0.8492 0.8914 0.2498
0.9223 0.7241 0.8420
0.9223 0.7759 0.3420
```

=====

Record 4
Structure and computed X-ray diffraction stick pattern of Hg8Br3O4 (a DFT-relaxed cell (PBE, the Materials Project); copper Kα).
Lines closer than 0.1° are merged.

Principal peaks in the range 2θ = 15–90°, by intensity:
- d = 3.042 Å, rel. 100
- d = 3.158 Å, rel. 92
- d = 3.255 Å, rel. 85
- d = 2.553 Å, rel. 81
- d = 4.970 Å, rel. 78
- d = 2.980 Å, rel. 77
- d = 3.229 Å, rel. 77
- d = 5.355 Å, rel. 72
- d = 3.864 Å, rel. 72
- d = 3.242 Å, rel. 70

Structural model:
```
Hg8Br3O4
1.0
7.7758 0.0000 0.0000
0.0000 6.4886 0.0000
-3.1389 0.0000 41.3323
Hg Br O
32 12 16
Direct
0.0313 0.1898 0.0104
0.0313 0.3102 0.5104
0.0679 0.5551 0.3288
0.0679 0.9449 0.8288
0.1040 0.5698 0.1542
0.1040 0.9302 0.6542
0.1141 0.7260 0.2421
0.1141 0.7740 0.7421
0.2098 0.1396 0.1141
0.2098 0.3604 0.6141
0.2551 0.1936 0.6999
0.2551 0.3064 0.1999
0.3691 0.1675 0.7862
0.3691 0.3325 0.2862
0.3965 0.7120 0.3906
0.3965 0.7880 0.8906
0.6035 0.2120 0.1094
0.6035 0.2880 0.6094
0.6309 0.6675 0.7138
0.6309 0.8325 0.2138
0.7449 0.6936 0.8001
0.7449 0.8064 0.3001
0.7902 0.6396 0.3859
0.7902 0.8604 0.8859
0.8859 0.2260 0.2579
0.8859 0.2740 0.7579
0.8960 0.0698 0.3458
0.8960 0.4302 0.8458
0.9321 0.0551 0.1712
0.9321 0.4449 0.6712
0.9687 0.6898 0.4896
0.9687 0.8102 0.9896
0.1342 0.5099 0.0426
0.1342 0.9901 0.5426
0.1720 0.2405 0.3854
0.1720 0.2595 0.8854
0.3814 0.6522 0.7974
0.3814 0.8478 0.2974
0.6186 0.1522 0.7026
0.6186 0.3478 0.2026
0.8280 0.7405 0.1146
0.8280 0.7595 0.6146
0.8658 0.0099 0.4574
0.8658 0.4901 0.9574
0.1506 0.1211 0.7529
0.1506 0.3789 0.2529
0.2714 0.5594 0.7096
0.2714 0.9406 0.2096
0.2820 0.0491 0.4096
0.2820 0.4509 0.9096
0.3813 0.6669 0.6895
0.3813 0.8331 0.1895
0.6187 0.1669 0.8105
0.6187 0.3331 0.3105
0.7180 0.5491 0.0904
0.7180 0.9509 0.5904
0.7286 0.0594 0.7904
0.7286 0.4406 0.2904
0.8494 0.6211 0.7471
0.8494 0.8789 0.2471
```

=====

Record 5
Structure and computed X-ray diffraction stick pattern of Hg8Br3O4 (a DFT-relaxed cell (PBE, the Materials Project); copper Kα).
Lines closer than 0.1° are merged.

Principal peaks in the range 2θ = 15–90°, by intensity:
- d = 4.936 Å, rel. 100
- d = 2.941 Å, rel. 83
- d = 3.029 Å, rel. 68
- d = 2.825 Å, rel. 63
- d = 3.414 Å, rel. 61
- d = 3.054 Å, rel. 61
- d = 2.766 Å, rel. 60
- d = 2.317 Å, rel. 56
- d = 2.821 Å, rel. 51
- d = 4.055 Å, rel. 51

Structural model:
```
Hg8Br3O4
1.0
6.9363 0.0000 0.0000
0.0000 6.5243 0.0000
-0.4427 0.0000 39.4906
Hg Br O
32 12 16
Direct
0.0228 0.1895 0.3288
0.0228 0.3105 0.8288
0.1328 0.2449 0.1085
0.1328 0.2551 0.6085
0.1537 0.7332 0.7638
0.1537 0.7668 0.2638
0.2400 0.6418 0.8893
0.2400 0.8582 0.3893
0.3601 0.2329 0.2576
0.3601 0.2671 0.7576
0.4515 0.0764 0.8712
0.4515 0.4236 0.3712
0.4609 0.6924 0.9923
0.4609 0.8076 0.4923
0.4667 0.6122 0.8168
0.4667 0.8878 0.3168
0.5333 0.1122 0.6832
0.5333 0.3878 0.1832
0.5391 0.1924 0.5077
0.5391 0.3076 0.0077
0.5485 0.5764 0.6288
0.5485 0.9236 0.1288
0.6399 0.7329 0.2424
0.6399 0.7671 0.7424
0.7600 0.1418 0.6107
0.7600 0.3582 0.1107
0.8463 0.2332 0.7362
0.8463 0.2668 0.2362
0.8672 0.7449 0.3915
0.8672 0.7551 0.8915
0.9772 0.6895 0.1712
0.9772 0.8105 0.6712
0.1157 0.0956 0.1890
0.1157 0.4044 0.6890
0.1412 0.7420 0.1113
0.1412 0.7580 0.6113
0.3060 0.0128 0.9651
0.3060 0.4872 0.4651
0.6940 0.5128 0.5349
0.6940 0.9872 0.0349
0.8588 0.2420 0.3887
0.8588 0.2580 0.8887
0.8843 0.5956 0.3110
0.8843 0.9044 0.8110
0.0782 0.0954 0.2769
0.0782 0.4046 0.7769
0.3292 0.1545 0.3567
0.3292 0.3455 0.8567
0.3631 0.5589 0.2416
0.3631 0.9411 0.7416
0.4456 0.2148 0.1166
0.4456 0.2852 0.6166
0.5544 0.7148 0.3834
0.5544 0.7852 0.8834
0.6369 0.0589 0.2584
0.6369 0.4411 0.7584
0.6708 0.6545 0.1433
0.6708 0.8455 0.6433
0.9218 0.5954 0.2231
0.9218 0.9046 0.7231
```

=====

Record 6
Structure and computed X-ray diffraction stick pattern of Hg5Br2O4 (a DFT-relaxed cell (PBE, the Materials Project); copper Kα).
Lines closer than 0.1° are merged.

Principal peaks in the range 2θ = 15–90°, by intensity:
- d = 2.794 Å, rel. 100
- d = 2.970 Å, rel. 90
- d = 3.005 Å, rel. 67
- d = 3.417 Å, rel. 37
- d = 4.119 Å, rel. 28
- d = 2.256 Å, rel. 27
- d = 1.691 Å, rel. 26
- d = 3.048 Å, rel. 22
- d = 1.728 Å, rel. 20
- d = 1.586 Å, rel. 19

Structural model:
```
Hg5Br2O4
1.0
-3.1554 6.0957 6.0092
3.1554 -6.0957 6.0092
3.1554 6.0957 -6.0092
Hg Br O
10 4 8
Direct
0.0889 0.7500 0.3389
0.1393 0.2150 0.3543
0.2500 0.2500 0.0000
0.3607 0.7150 0.0757
0.4111 0.7500 0.6611
0.5889 0.2500 0.3389
0.6393 0.2850 0.9243
0.7500 0.7500 0.0000
0.8607 0.7850 0.6457
0.9111 0.2500 0.6611
0.1099 0.7270 0.8368
0.3901 0.2270 0.6171
0.6099 0.7730 0.3829
0.8901 0.2730 0.1632
0.0321 0.9766 0.6549
0.1783 0.5234 0.0555
0.3217 0.3772 0.3451
0.4679 0.1228 0.9445
0.5321 0.8772 0.0555
0.6783 0.6228 0.6549
0.8217 0.4766 0.9445
0.9679 0.0234 0.3451
```